1.
Calculated PXRD pattern of Na2Sr3As4 for Cu Kα, from a PBE-relaxed structure.

Principal peaks in the range 10 to 90 degrees two-theta, most intense first:
2theta  d [Å]  I_rel
31.07  2.879  1000
29.87  2.991  703
37.22  2.416  608
31.31  2.857  592
19.47  4.559  461
33.53  2.672  334
23.24  3.827  277
34.97  2.566  212
36.39  2.469  212
54.45  1.685  211
34.18  2.623  180
40.78  2.212  177

Structure:
a = 8.3080 Å, b = 7.5676 Å, c = 17.7904 Å
α = 90.00°, β = 117.79°, γ = 90.00°
Space group P2_1/c (No. 14)
Inequivalent atoms, fractional coordinates:
Na: 0.0515 0.1786 0.3743 (multiplicity 4)
Na: 0.2592 0.1432 0.7495 (multiplicity 4)
Sr: 0.1914 0.6789 0.3722 (multiplicity 4)
Sr: 0.2895 0.0231 0.0998 (multiplicity 4)
Sr: 0.4058 0.5226 0.0994 (multiplicity 4)
As: 0.0047 0.1480 0.5362 (multiplicity 4)
As: 0.1657 0.5199 0.7498 (multiplicity 4)
As: 0.3793 0.7393 0.2506 (multiplicity 4)
As: 0.4308 0.1503 0.9633 (multiplicity 4)

=====

2.
Calculated PXRD pattern of NaSrAs for Cu Kα, from a PBE-relaxed structure.

Principal peaks in the range 10 to 90 degrees two-theta, most intense first:
2theta  d [Å]  I_rel
32.60  2.746  1000
29.79  2.999  754
39.56  2.278  281
39.03  2.308  267
22.53  3.946  258
40.00  2.254  255
62.57  1.485  229
34.73  2.583  224
56.78  1.621  191
52.16  1.753  190
26.08  3.417  158
47.99  1.896  136

Structure:
a = 7.8920 Å, b = 7.8920 Å, c = 4.6156 Å
α = 90.00°, β = 90.00°, γ = 120.00°
Space group P-62m (No. 189)
Inequivalent atoms, fractional coordinates:
Na: 0.0000 0.7582 0.0000 (multiplicity 3)
Sr: 0.0000 0.4145 0.5000 (multiplicity 3)
As: 0.0000 0.0000 0.5000 (multiplicity 1)
As: 0.3333 0.6667 0.0000 (multiplicity 2)

=====

3.
Calculated PXRD pattern of Na2Sr3As4 for Cu Kα, from a PBE-relaxed structure.

Principal peaks in the range 10 to 90 degrees two-theta, most intense first:
2theta  d [Å]  I_rel
32.65  2.743  1000
38.55  2.335  536
30.20  2.960  519
34.60  2.592  383
32.05  2.792  376
31.61  2.830  376
31.21  2.866  376
27.88  3.200  332
44.83  2.022  250
10.94  8.084  234
33.22  2.697  228
44.76  2.025  228

Structure:
a = 9.6455 Å, b = 9.3416 Å, c = 13.8676 Å
α = 90.00°, β = 123.06°, γ = 90.00°
Space group P2_1/c (No. 14)
Inequivalent atoms, fractional coordinates:
Na: 0.1560 0.2088 0.3601 (multiplicity 4)
Na: 0.2461 0.5705 0.2827 (multiplicity 4)
Sr: 0.1029 0.6762 0.9305 (multiplicity 4)
Sr: 0.2702 0.0544 0.0592 (multiplicity 4)
Sr: 0.4248 0.5313 0.8530 (multiplicity 4)
As: 0.0377 0.5201 0.6912 (multiplicity 4)
As: 0.2324 0.1112 0.6022 (multiplicity 4)
As: 0.4802 0.7205 0.5266 (multiplicity 4)
As: 0.4887 0.2253 0.7812 (multiplicity 4)